No. 1
Starting from DFT lattice parameters and positions (GGA-PBE), the powder X-ray diffraction pattern of Rb2Cd2PdCl8 was simulated for λ = 1.5418 Å (Cu Kα).

a = 11.7454 Å, b = 6.8331 Å, c = 9.4356 Å
α = 90.00°, β = 107.82°, γ = 90.00°
Space group C2/m (No. 12)
One atom of each set of equivalent atoms:
1 Rb 0.1078 0.0000 0.3204 (multiplicity 4)
2 Cd 0.1286 0.5000 0.9052 (multiplicity 4)
3 Pd 0.0000 0.5000 0.5000 (multiplicity 2)
4 Cl 0.0937 0.5000 0.1826 (multiplicity 4)
5 Cl 0.1243 0.2655 0.6488 (multiplicity 8)
6 Cl 0.1536 0.0000 0.9938 (multiplicity 4)

Top 10 peaks for 10° ≤ 2θ ≤ 80°, by angle:
| two_theta | d/Å | I_rel |
| --- | --- | --- |
| 15.2 | 5.831 | 60.3 |
| 15.9 | 5.579 | 55.9 |
| 19.4 | 4.569 | 58.8 |
| 26.1 | 3.417 | 82.9 |
| 26.4 | 3.380 | 87.3 |
| 29.2 | 3.058 | 50.2 |
| 31.3 | 2.855 | 100.0 |
| 32.0 | 2.796 | 51.2 |
| 33.8 | 2.648 | 86.1 |
| 39.4 | 2.285 | 45.6 |

***

No. 2
Starting from DFT lattice parameters and positions (GGA-PBE), the powder X-ray diffraction pattern of Rb4CdCl6 was simulated for λ = 1.5418 Å (Cu Kα).

a = 12.4870 Å, b = 12.4870 Å, c = 15.6700 Å
α = 90.00°, β = 90.00°, γ = 120.00°
Space group R-3c (No. 167, hexagonal axes)
One atom of each set of equivalent atoms:
1 Rb 0.0000 0.0000 0.2500 (multiplicity 6)
2 Rb 0.0000 0.3747 0.2500 (multiplicity 18)
3 Cd 0.0000 0.0000 0.0000 (multiplicity 6)
4 Cl 0.0284 0.1877 0.4009 (multiplicity 36)

Top 10 peaks for 10° ≤ 2θ ≤ 80°, by angle:
| two_theta | d/Å | I_rel |
| --- | --- | --- |
| 14.0 | 6.345 | 37.2 |
| 14.2 | 6.244 | 35.4 |
| 22.2 | 4.006 | 49.3 |
| 24.7 | 3.605 | 100.0 |
| 28.1 | 3.172 | 48.9 |
| 30.3 | 2.946 | 47.5 |
| 31.6 | 2.828 | 78.6 |
| 33.4 | 2.680 | 92.2 |
| 43.2 | 2.096 | 51.6 |
| 64.9 | 1.437 | 30.4 |

***

No. 3
Starting from DFT lattice parameters and positions (GGA-PBE), the powder X-ray diffraction pattern of Cd3Se2Cl2 was simulated for λ = 1.5418 Å (Cu Kα).

a = 9.1160 Å, b = 9.1160 Å, c = 9.1160 Å
α = 90.00°, β = 90.00°, γ = 90.00°
Space group I2_13 (No. 199)
One atom of each set of equivalent atoms:
1 Cd 0.0000 0.2500 0.9119 (multiplicity 12)
2 Se 0.0261 0.4739 0.5261 (multiplicity 8)
3 Cl 0.2332 0.2332 0.2332 (multiplicity 8)

Top 10 peaks for 10° ≤ 2θ ≤ 80°, by angle:
| two_theta | d/Å | I_rel |
| --- | --- | --- |
| 19.5 | 4.558 | 26.1 |
| 23.9 | 3.722 | 95.3 |
| 31.0 | 2.883 | 100.0 |
| 36.9 | 2.436 | 37.9 |
| 39.5 | 2.279 | 31.5 |
| 44.4 | 2.038 | 33.5 |
| 49.0 | 1.861 | 31.6 |
| 51.1 | 1.788 | 59.8 |
| 62.8 | 1.479 | 20.4 |
| 76.8 | 1.241 | 23.2 |

***

No. 4
Starting from DFT lattice parameters and positions (GGA-PBE), the powder X-ray diffraction pattern of CdCo15 was simulated for λ = 1.5418 Å (Cu Kα).

a = 4.9799 Å, b = 3.4752 Å, c = 33.6695 Å
α = 90.00°, β = 90.00°, γ = 90.00°
Space group P2_1/m (No. 11)
One atom of each set of equivalent atoms:
1 Cd 0.1250 0.2500 0.2928 (multiplicity 2)
2 Co 0.1231 0.2500 0.7607 (multiplicity 2)
3 Co 0.1240 0.2500 0.8343 (multiplicity 2)
4 Co 0.1250 0.2500 0.0551 (multiplicity 2)
5 Co 0.1250 0.2500 0.1290 (multiplicity 2)
6 Co 0.1250 0.2500 0.2018 (multiplicity 2)
7 Co 0.1251 0.2500 0.9080 (multiplicity 2)
8 Co 0.1250 0.2500 0.9817 (multiplicity 2)
9 Co 0.3731 0.7500 0.2393 (multiplicity 2)
10 Co 0.3740 0.7500 0.1658 (multiplicity 2)
11 Co 0.3750 0.7500 0.0184 (multiplicity 2)
12 Co 0.3750 0.7500 0.0919 (multiplicity 2)
13 Co 0.3750 0.7500 0.7285 (multiplicity 2)
14 Co 0.3750 0.7500 0.7979 (multiplicity 2)
15 Co 0.3751 0.7500 0.8714 (multiplicity 2)
16 Co 0.3750 0.7500 0.9447 (multiplicity 2)

Top 10 peaks for 10° ≤ 2θ ≤ 80°, by angle:
| two_theta | d/Å | I_rel |
| --- | --- | --- |
| 10.5 | 8.417 | 20.6 |
| 43.6 | 2.077 | 52.9 |
| 44.8 | 2.023 | 100.0 |
| 45.9 | 1.978 | 37.6 |
| 50.9 | 1.795 | 31.3 |
| 52.7 | 1.737 | 30.2 |
| 52.9 | 1.730 | 24.8 |
| 76.3 | 1.248 | 17.0 |
| 76.5 | 1.245 | 9.0 |
| 77.9 | 1.226 | 13.5 |